This entry pairs a crystal structure of CoSb2O6 with its calculated X-ray powder pattern. Radiation: Cu Kα. Structure: DFT lattice parameters and positions (PBE+U).
Intensities are scaled so that the largest is 100.

Peak list (8 most intense, 5 to 70 degrees two-theta, in order of rising 2θ)
- 19.89 deg, d 4.464, I 39.5
- 28.18 deg, d 3.167, I 100.0
- 34.58 deg, d 2.594, I 55.6
- 40.21 deg, d 2.243, I 44.4
- 45.18 deg, d 2.007, I 26.6
- 54.22 deg, d 1.692, I 54.9
- 58.12 deg, d 1.587, I 24.6
- 61.96 deg, d 1.498, I 22.0

Structure:
abc: 5.1882 5.1882 4.4636
angles: 90.00 90.00 120.00
Space group P-31m (No. 162)
Unique sites:
Co 0.0000 0.0000 0.0000 [1 per cell]
Sb 0.3333 0.6667 0.5000 [2 per cell]
O 0.0000 0.3496 0.2582 [6 per cell]

***

This entry pairs a crystal structure of Co3SeO5 with its calculated X-ray powder pattern. Radiation: Cu Kα. Structure: DFT lattice parameters and positions (PBE+U).
Intensities are scaled so that the largest is 100.

Peak list (8 most intense, 5 to 70 degrees two-theta, in order of rising 2θ)
- 19.68 deg, d 4.512, I 64.8
- 21.45 deg, d 4.144, I 32.4
- 31.00 deg, d 2.885, I 23.1
- 31.50 deg, d 2.840, I 100.0
- 34.18 deg, d 2.623, I 24.3
- 35.24 deg, d 2.547, I 28.4
- 47.36 deg, d 1.920, I 24.6
- 49.91 deg, d 1.827, I 34.2

Structure:
abc: 10.1877 9.0236 5.2466
angles: 90.00 90.00 90.00
Space group Cmc2_1 (No. 36)
Unique sites:
Co 0.0000 0.0256 0.0000 [4 per cell]
Co 0.2453 0.4341 0.9378 [8 per cell]
Se 0.0000 0.3717 0.4239 [4 per cell]
O 0.0000 0.1951 0.3117 [4 per cell]
O 0.1382 0.3874 0.6238 [8 per cell]
O 0.1439 0.0630 0.7324 [8 per cell]

***

This entry pairs a crystal structure of Sr2CoSe3O9 with its calculated X-ray powder pattern. Radiation: Cu Kα. Structure: DFT lattice parameters and positions (PBE+U).
Intensities are scaled so that the largest is 100.

Peak list (8 most intense, 5 to 70 degrees two-theta, in order of rising 2θ)
- 26.92 deg, d 3.312, I 95.2
- 27.81 deg, d 3.208, I 38.1
- 28.37 deg, d 3.146, I 34.9
- 29.09 deg, d 3.070, I 36.9
- 29.64 deg, d 3.014, I 56.2
- 30.53 deg, d 2.928, I 100.0
- 31.69 deg, d 2.824, I 38.0
- 32.22 deg, d 2.779, I 36.0

Structure:
abc: 7.2816 7.5561 8.6997
angles: 103.07 105.33 95.56
Space group P-1 (No. 2)
Unique sites:
Sr 0.1257 0.4829 0.3065 [2 per cell]
Sr 0.2542 0.9135 0.1071 [2 per cell]
Co 0.4033 0.6664 0.7446 [2 per cell]
Se 0.1328 0.9240 0.7011 [2 per cell]
Se 0.2692 0.3628 0.9116 [2 per cell]
Se 0.3997 0.2045 0.5462 [2 per cell]
O 0.0134 0.1235 0.1820 [2 per cell]
O 0.0246 0.2919 0.8474 [2 per cell]
O 0.1334 0.7018 0.5915 [2 per cell]
O 0.2718 0.5962 0.9139 [2 per cell]
O 0.3246 0.3589 0.1160 [2 per cell]
O 0.3264 0.4182 0.5734 [2 per cell]
O 0.3564 0.9578 0.8481 [2 per cell]
O 0.3717 0.7517 0.3245 [2 per cell]
O 0.4349 0.1784 0.3556 [2 per cell]

***

This entry pairs a crystal structure of Sr2ZnCoSe2O2 with its calculated X-ray powder pattern. Radiation: Cu Kα. Structure: DFT lattice parameters and positions (PBE+U).
Intensities are scaled so that the largest is 100.

Peak list (8 most intense, 5 to 70 degrees two-theta, in order of rising 2θ)
- 26.63 deg, d 3.347, I 76.2
- 29.78 deg, d 3.000, I 56.6
- 30.49 deg, d 2.932, I 35.7
- 34.44 deg, d 2.604, I 100.0
- 44.96 deg, d 2.016, I 76.3
- 53.75 deg, d 1.706, I 29.5
- 55.30 deg, d 1.661, I 37.8
- 57.83 deg, d 1.594, I 21.9

Structure:
abc: 4.0325 4.0325 11.7269
angles: 90.00 90.00 120.00
Space group P3m1 (No. 156)
Unique sites:
Sr 0.0000 0.0000 0.0000 [1 per cell]
Sr 0.3333 0.6667 0.5042 [1 per cell]
Zn 0.6667 0.3333 0.2809 [1 per cell]
Co 0.6667 0.3333 0.7806 [1 per cell]
Se 0.0000 0.0000 0.7048 [1 per cell]
Se 0.3333 0.6667 0.1998 [1 per cell]
O 0.6667 0.3333 0.4437 [1 per cell]
O 0.6667 0.3333 0.9405 [1 per cell]